1.
Starting from a cell relaxed with PBE+U, the X-ray diffraction stick pattern of Li4V3Ni3Te2O16 was simulated for a wavelength of 1.5418 Å.

Atomic structure:
abc: 5.882 6.012 10.230
angles: 90.23 90.15 119.23
Sites, in units of the cell vectors:
Li 0.000 0.000 0.000
Li 0.006 0.011 0.510
Li 0.339 0.668 0.091
Li 0.659 0.314 0.591
V 0.179 0.357 0.761
V 0.342 0.183 0.273
V 0.841 0.194 0.275
Ni 0.170 0.826 0.780
Ni 0.659 0.826 0.780
Ni 0.831 0.666 0.290
Te 0.354 0.705 0.499
Te 0.671 0.337 0.981
O 0.014 0.025 0.695
O 0.016 0.484 0.665
O 0.133 0.286 0.385
O 0.181 0.864 0.400
O 0.312 0.621 0.885
O 0.332 0.165 0.892
O 0.468 0.483 0.664
O 0.479 0.957 0.642
O 0.484 0.466 0.181
O 0.527 0.023 0.176
O 0.670 0.313 0.388
O 0.683 0.855 0.404
O 0.836 0.165 0.891
O 0.837 0.671 0.897
O 0.986 0.468 0.177
O 0.993 0.001 0.188

Top 10 peaks for 2θ from 10° to 90°, by angle:
d/Å	I_rel
5.118	39
4.667	62
4.587	100
3.623	28
2.849	37
2.838	37
2.598	32
2.586	31
2.555	31
2.488	46

2.
Starting from a cell relaxed with PBE+U, the X-ray diffraction stick pattern of Na4Ni3O7 was simulated for a wavelength of 1.5418 Å.

Atomic structure:
abc: 7.006 7.006 7.006
angles: 69.27 69.27 69.27
Sites, in units of the cell vectors:
Na 0.000 0.000 0.000
Na 0.076 0.656 0.783
Na 0.217 0.924 0.344
Na 0.344 0.217 0.924
Na 0.500 0.500 0.500
Na 0.656 0.783 0.076
Na 0.783 0.076 0.656
Na 0.924 0.344 0.217
Ni 0.144 0.290 0.568
Ni 0.290 0.568 0.144
Ni 0.432 0.856 0.710
Ni 0.568 0.144 0.290
Ni 0.710 0.432 0.856
Ni 0.856 0.710 0.432
O 0.007 0.339 0.855
O 0.145 0.993 0.661
O 0.164 0.582 0.454
O 0.272 0.272 0.272
O 0.339 0.855 0.007
O 0.418 0.546 0.836
O 0.454 0.164 0.582
O 0.546 0.836 0.418
O 0.582 0.454 0.164
O 0.661 0.145 0.993
O 0.728 0.728 0.728
O 0.836 0.418 0.546
O 0.855 0.007 0.339
O 0.993 0.661 0.145

Top 10 peaks for 2θ from 10° to 90°, by angle:
d/Å	I_rel
5.286	61
2.643	16
2.572	14
2.476	33
2.178	100
1.710	11
1.578	28
1.505	27
1.308	11
1.238	12

3.
Starting from a cell relaxed with PBE+U, the X-ray diffraction stick pattern of K2LiCrF6 was simulated for a wavelength of 1.5418 Å.

Atomic structure:
abc: 5.739 5.739 5.739
angles: 60.00 60.00 60.00
Sites, in units of the cell vectors:
K 0.250 0.250 0.250
K 0.750 0.750 0.750
Li 0.000 0.000 0.000
Cr 0.500 0.500 0.500
F 0.259 0.259 0.741
F 0.259 0.741 0.259
F 0.259 0.741 0.741
F 0.741 0.259 0.259
F 0.741 0.259 0.741
F 0.741 0.741 0.259

Top 10 peaks for 2θ from 10° to 90°, by angle:
d/Å	I_rel
4.686	68
2.870	93
2.447	25
2.343	64
2.029	100
1.657	32
1.435	52
1.283	14
1.224	13
1.172	15

4.
Starting from a cell relaxed with PBE+U, the X-ray diffraction stick pattern of FeOF was simulated for a wavelength of 1.5418 Å.

Atomic structure:
abc: 14.135 3.092 14.135
angles: 90.00 90.02 90.00
Sites, in units of the cell vectors:
Fe 0.000 0.000 0.000
Fe 0.000 0.000 0.333
Fe 0.141 0.500 0.829
Fe 0.149 0.500 0.496
Fe 0.162 0.500 0.187
Fe 0.334 0.000 0.320
Fe 0.337 0.000 0.669
Fe 0.338 0.000 0.006
Fe 0.477 0.500 0.836
Fe 0.486 0.500 0.167
Fe 0.489 0.500 0.515
Fe 0.649 0.000 0.022
Fe 0.654 0.000 0.654
Fe 0.673 0.000 0.342
Fe 0.805 0.500 0.170
Fe 0.819 0.500 0.514
Fe 0.824 0.500 0.831
Fe 0.978 0.000 0.675
O 0.052 0.500 0.268
O 0.052 0.500 0.939
O 0.086 0.000 0.767
O 0.092 0.000 0.439
O 0.223 0.000 0.239
O 0.383 0.500 0.600
O 0.387 0.500 0.939
O 0.397 0.500 0.270
O 0.423 0.000 0.110
O 0.425 0.000 0.770
O 0.551 0.000 0.569
O 0.586 0.500 0.073
O 0.721 0.500 0.273
O 0.723 0.500 0.614
O 0.757 0.000 0.444
O 0.763 0.000 0.099
O 0.894 0.000 0.570
O 0.918 0.500 0.743
F 0.059 0.500 0.607
F 0.092 0.000 0.107
F 0.218 0.000 0.900
F 0.219 0.000 0.571
F 0.250 0.500 0.067
F 0.256 0.500 0.736
F 0.263 0.500 0.406
F 0.422 0.000 0.438
F 0.553 0.000 0.235
F 0.559 0.000 0.901
F 0.585 0.500 0.402
F 0.592 0.500 0.741
F 0.721 0.500 0.934
F 0.751 0.000 0.779
F 0.882 0.000 0.909
F 0.888 0.000 0.235
F 0.925 0.500 0.398
F 0.929 0.500 0.070

Top 10 peaks for 2θ from 10° to 90°, by angle:
d/Å	I_rel
3.332	100
2.585	57
2.266	18
2.107	8
1.741	58
1.666	16
1.546	10
1.402	12
1.400	19
1.133	7

5.
Starting from a cell relaxed with PBE+U, the X-ray diffraction stick pattern of MgAg4Mo2O8 was simulated for a wavelength of 1.5418 Å.

Atomic structure:
abc: 7.021 7.021 7.021
angles: 60.00 60.00 60.00
Sites, in units of the cell vectors:
Mg 0.000 0.000 0.000
Ag 0.448 0.851 0.851
Ag 0.851 0.448 0.851
Ag 0.851 0.851 0.448
Ag 0.851 0.851 0.851
Mo 0.250 0.250 0.250
Mo 0.500 0.500 0.500
O 0.144 0.144 0.144
O 0.144 0.144 0.569
O 0.144 0.569 0.144
O 0.185 0.605 0.605
O 0.569 0.144 0.144
O 0.605 0.185 0.605
O 0.605 0.605 0.185
O 0.605 0.605 0.605

Top 10 peaks for 2θ from 10° to 90°, by angle:
d/Å	I_rel
5.732	25
3.510	61
2.994	100
2.866	23
2.027	31
1.911	63
1.755	41
1.327	21
1.293	23
1.170	20

6.
Starting from a cell relaxed with PBE+U, the X-ray diffraction stick pattern of NiPO4F was simulated for a wavelength of 1.5418 Å.

Atomic structure:
abc: 5.200 5.289 7.196
angles: 106.92 108.27 97.26
Sites, in units of the cell vectors:
Ni 0.000 0.000 0.000
Ni 0.000 0.000 0.500
P 0.318 0.646 0.264
P 0.682 0.354 0.736
O 0.108 0.671 0.377
O 0.260 0.779 0.097
O 0.305 0.342 0.162
O 0.386 0.231 0.568
O 0.614 0.769 0.432
O 0.695 0.658 0.838
O 0.740 0.221 0.903
O 0.892 0.329 0.623
F 0.123 0.956 0.765
F 0.877 0.044 0.235

Top 10 peaks for 2θ from 10° to 90°, by angle:
d/Å	I_rel
4.912	45
4.788	100
3.934	28
3.278	38
3.254	62
3.082	62
2.436	26
2.166	20
2.001	16
1.649	19